1.
The following is a computed powder diffractogram of HoTm6Pd3. It was derived from DFT lattice parameters and positions (PBE), using Cu Ka.
Lines closer than 0.1° are merged.

Main lines, most intense first (2θ = 10–90°):
| two_theta | d (Å) | I_rel |
| --- | --- | --- |
| 35.42 | 2.534 | 100 |
| 34.22 | 2.621 | 84 |
| 30.10 | 2.969 | 75 |
| 32.68 | 2.740 | 68 |
| 31.66 | 2.826 | 55 |
| 34.09 | 2.630 | 47 |
| 29.58 | 3.020 | 42 |
| 40.12 | 2.248 | 41 |
| 28.37 | 3.146 | 40 |
| 32.09 | 2.789 | 36 |
| 37.24 | 2.414 | 29 |
| 52.88 | 1.731 | 28 |

a b c (Å): 11.157 13.040 7.184
angles (deg): 90.00 90.00 90.00
Space group Cmc2_1 (No. 36)
Unique sites:
Ho (0.000, 0.184, 0.000) [4 per cell]
Tm (0.000, 0.271, 0.521) [4 per cell]
Tm (0.000, 0.467, 0.878) [4 per cell]
Tm (0.168, 0.039, 0.372) [8 per cell]
Tm (0.228, 0.308, 0.220) [8 per cell]
Pd (0.000, 0.078, 0.665) [4 per cell]
Pd (0.192, 0.397, 0.585) [8 per cell]

2.
The following is a computed powder diffractogram of Al2GeS6. It was derived from DFT lattice parameters and positions (PBE), using Cu Ka.
Lines closer than 0.1° are merged.

Main lines, most intense first (2θ = 10–90°):
| two_theta | d (Å) | I_rel |
| --- | --- | --- |
| 22.10 | 4.023 | 100 |
| 33.61 | 2.666 | 88 |
| 43.73 | 2.070 | 85 |
| 54.85 | 1.674 | 56 |
| 45.07 | 2.012 | 35 |
| 35.27 | 2.544 | 35 |
| 17.66 | 5.021 | 28 |
| 51.33 | 1.780 | 20 |
| 70.66 | 1.333 | 17 |
| 29.60 | 3.018 | 14 |
| 56.53 | 1.628 | 14 |
| 70.18 | 1.341 | 11 |

a b c (Å): 5.690 5.690 10.680
angles (deg): 90.00 90.00 90.00
Space group P4_2/mnm (No. 136)
Unique sites:
Al (0.000, 0.000, 0.167) [4 per cell]
Ge (0.000, 0.000, 0.500) [2 per cell]
S (0.192, 0.192, 0.000) [4 per cell]
S (0.195, 0.195, 0.332) [8 per cell]

3.
The following is a computed powder diffractogram of ZnSi. It was derived from DFT lattice parameters and positions (PBE), using Cu Ka.
Lines closer than 0.1° are merged.

Main lines, most intense first (2θ = 10–90°):
| two_theta | d (Å) | I_rel |
| --- | --- | --- |
| 43.38 | 2.086 | 100 |
| 35.26 | 2.546 | 38 |
| 17.42 | 5.091 | 36 |
| 39.41 | 2.287 | 33 |
| 53.90 | 1.701 | 25 |
| 68.91 | 1.363 | 24 |
| 82.27 | 1.172 | 18 |
| 71.46 | 1.320 | 13 |
| 87.44 | 1.115 | 12 |
| 87.77 | 1.112 | 6 |
| 74.21 | 1.278 | 4 |
| 74.56 | 1.273 | 4 |

a b c (Å): 2.6402 2.6402 5.0911
angles (deg): 90.00 90.00 120.00
Space group P-6m2 (No. 187)
Unique sites:
Zn (0.0000, 0.0000, 0.0000) [1 per cell]
Si (0.6667, 0.3333, 0.5000) [1 per cell]

4.
The following is a computed powder diffractogram of Hf4BiPb. It was derived from DFT lattice parameters and positions (PBE), using Cu Ka.
Lines closer than 0.1° are merged.

Main lines, most intense first (2θ = 10–90°):
| two_theta | d (Å) | I_rel |
| --- | --- | --- |
| 34.11 | 2.629 | 100 |
| 37.45 | 2.401 | 88 |
| 33.67 | 2.662 | 73 |
| 32.24 | 2.776 | 41 |
| 37.91 | 2.373 | 31 |
| 40.50 | 2.227 | 27 |
| 38.78 | 2.322 | 25 |
| 43.83 | 2.065 | 20 |
| 53.19 | 1.722 | 19 |
| 63.64 | 1.462 | 18 |
| 29.74 | 3.004 | 18 |
| 61.77 | 1.502 | 17 |

a b c (Å): 5.852 6.008 8.416
angles (deg): 90.00 108.39 90.00
Space group P2_1/m (No. 11)
Unique sites:
Hf (0.142, 0.250, 0.026) [2 per cell]
Hf (0.214, 0.000, 0.680) [4 per cell]
Hf (0.232, 0.750, 0.328) [2 per cell]
Bi (0.375, 0.750, 0.025) [2 per cell]
Pb (0.304, 0.250, 0.386) [2 per cell]

5.
The following is a computed powder diffractogram of K3Ce3PmTe8. It was derived from DFT lattice parameters and positions (PBE), using Cu Ka.
Lines closer than 0.1° are merged.

Main lines, most intense first (2θ = 10–90°):
| two_theta | d (Å) | I_rel |
| --- | --- | --- |
| 26.63 | 3.347 | 100 |
| 10.64 | 8.313 | 47 |
| 39.33 | 2.291 | 37 |
| 36.66 | 2.451 | 35 |
| 33.82 | 2.651 | 20 |
| 48.13 | 1.890 | 19 |
| 63.84 | 1.458 | 16 |
| 46.11 | 1.968 | 13 |
| 40.86 | 2.208 | 11 |
| 60.12 | 1.539 | 11 |
| 54.86 | 1.674 | 11 |
| 69.57 | 1.351 | 10 |

a b c (Å): 9.1628 9.1628 24.9376
angles (deg): 90.00 90.00 120.00
Space group R-3m (No. 166, hexagonal axes)
Unique sites:
K (0.0000, 0.5000, 0.0000) [9 per cell]
Ce (0.0000, 0.5000, 0.5000) [9 per cell]
Pm (0.0000, 0.0000, 0.5000) [3 per cell]
Te (0.0000, 0.0000, 0.2375) [6 per cell]
Te (0.0025, 0.5013, 0.7635) [18 per cell]

6.
The following is a computed powder diffractogram of Ac4TlSn. It was derived from DFT lattice parameters and positions (PBE), using Cu Ka.
Lines closer than 0.1° are merged.

Main lines, most intense first (2θ = 10–90°):
| two_theta | d (Å) | I_rel |
| --- | --- | --- |
| 27.43 | 3.252 | 100 |
| 33.34 | 2.687 | 39 |
| 34.73 | 2.583 | 36 |
| 29.42 | 3.036 | 28 |
| 45.50 | 1.994 | 26 |
| 54.13 | 1.694 | 26 |
| 47.64 | 1.909 | 22 |
| 63.35 | 1.468 | 13 |
| 51.56 | 1.772 | 13 |
| 30.97 | 2.888 | 12 |
| 24.95 | 3.569 | 11 |
| 62.61 | 1.484 | 11 |

a b c (Å): 8.168 8.168 7.138
angles (deg): 90.00 90.00 90.00
Space group P4/mcc (No. 124)
Unique sites:
Ac (0.163, 0.332, 0.000) [8 per cell]
Tl (0.500, 0.500, 0.250) [2 per cell]
Sn (0.000, 0.000, 0.250) [2 per cell]

7.
The following is a computed powder diffractogram of NiMoC. It was derived from DFT lattice parameters and positions (PBE), using Cu Ka.
Lines closer than 0.1° are merged.

Main lines, most intense first (2θ = 10–90°):
| two_theta | d (Å) | I_rel |
| --- | --- | --- |
| 44.55 | 2.034 | 100 |
| 37.99 | 2.368 | 73 |
| 34.67 | 2.587 | 66 |
| 42.04 | 2.149 | 51 |
| 44.08 | 2.054 | 46 |
| 43.32 | 2.089 | 36 |
| 78.91 | 1.213 | 25 |
| 51.82 | 1.764 | 22 |
| 79.64 | 1.204 | 19 |
| 65.67 | 1.422 | 17 |
| 60.08 | 1.540 | 15 |
| 66.93 | 1.398 | 15 |

a b c (Å): 2.796 6.582 6.822
angles (deg): 90.00 90.00 90.00
Space group Imm2 (No. 44)
Unique sites:
Ni (0.000, 0.190, 0.000) [4 per cell]
Mo (0.000, 0.000, 0.666) [2 per cell]
Mo (0.000, 0.500, 0.782) [2 per cell]
C (0.000, 0.268, 0.287) [4 per cell]

8.
The following is a computed powder diffractogram of BaLa7Mg5Nb3O24. It was derived from DFT lattice parameters and positions (PBE), using Cu Ka.
Lines closer than 0.1° are merged.

Main lines, most intense first (2θ = 10–90°):
| two_theta | d (Å) | I_rel |
| --- | --- | --- |
| 31.35 | 2.854 | 100 |
| 44.92 | 2.018 | 29 |
| 55.76 | 1.649 | 29 |
| 22.03 | 4.036 | 20 |
| 55.87 | 1.646 | 13 |
| 38.62 | 2.331 | 13 |
| 74.37 | 1.276 | 9 |
| 65.48 | 1.426 | 8 |
| 65.35 | 1.428 | 7 |
| 19.04 | 4.661 | 7 |
| 74.28 | 1.277 | 6 |
| 36.93 | 2.434 | 6 |

a b c (Å): 5.703 9.880 9.893
angles (deg): 80.35 89.88 73.32
Space group P1 (No. 1)
Unique sites:
Ba (0.000, 0.000, 0.000) [1 per cell]
La (0.142, 0.725, 0.390) [1 per cell]
La (0.264, 0.489, 0.739) [1 per cell]
La (0.376, 0.257, 0.153) [1 per cell]
La (0.488, 0.015, 0.494) [1 per cell]
La (0.638, 0.743, 0.891) [1 per cell]
La (0.744, 0.489, 0.261) [1 per cell]
La (0.889, 0.268, 0.615) [1 per cell]
Mg (0.192, 0.620, 0.069) [1 per cell]
Mg (0.320, 0.372, 0.444) [1 per cell]
Mg (0.438, 0.126, 0.813) [1 per cell]
Mg (0.693, 0.627, 0.567) [1 per cell]
Mg (0.943, 0.119, 0.319) [1 per cell]
Nb (0.069, 0.872, 0.689) [1 per cell]
Nb (0.561, 0.874, 0.194) [1 per cell]
Nb (0.818, 0.373, 0.941) [1 per cell]
O (0.065, 0.764, 0.881) [1 per cell]
O (0.069, 0.956, 0.490) [1 per cell]
O (0.169, 0.259, 0.932) [1 per cell]
O (0.190, 0.025, 0.743) [1 per cell]
O (0.194, 0.218, 0.371) [1 per cell]
O (0.232, 0.996, 0.221) [1 per cell]
O (0.303, 0.277, 0.644) [1 per cell]
O (0.328, 0.470, 0.241) [1 per cell]
O (0.426, 0.752, 0.683) [1 per cell]
O (0.443, 0.722, 0.126) [1 per cell]
O (0.444, 0.526, 0.519) [1 per cell]
O (0.471, 0.502, 0.952) [1 per cell]
O (0.543, 0.965, 0.991) [1 per cell]
O (0.570, 0.781, 0.392) [1 per cell]
O (0.680, 0.242, 0.426) [1 per cell]
O (0.683, 0.242, 0.854) [1 per cell]
O (0.687, 0.026, 0.258) [1 per cell]
O (0.718, 0.986, 0.708) [1 per cell]
O (0.809, 0.274, 0.136) [1 per cell]
O (0.831, 0.481, 0.750) [1 per cell]
O (0.912, 0.749, 0.179) [1 per cell]
O (0.929, 0.522, 0.024) [1 per cell]
O (0.952, 0.497, 0.458) [1 per cell]
O (0.965, 0.716, 0.614) [1 per cell]

9.
The following is a computed powder diffractogram of Ac4CdAuN. It was derived from DFT lattice parameters and positions (PBE), using Cu Ka.
Lines closer than 0.1° are merged.

Main lines, most intense first (2θ = 10–90°):
| two_theta | d (Å) | I_rel |
| --- | --- | --- |
| 31.23 | 2.864 | 100 |
| 26.46 | 3.368 | 81 |
| 27.46 | 3.248 | 47 |
| 27.20 | 3.278 | 45 |
| 29.64 | 3.014 | 35 |
| 29.87 | 2.991 | 34 |
| 39.83 | 2.263 | 26 |
| 27.82 | 3.207 | 24 |
| 45.18 | 2.007 | 24 |
| 40.07 | 2.250 | 23 |
| 47.45 | 1.916 | 21 |
| 10.23 | 8.643 | 18 |

a b c (Å): 7.397 7.664 9.052
angles (deg): 90.00 107.29 90.00
Space group P2_1/m (No. 11)
Unique sites:
Ac (0.006, 0.008, 0.267) [4 per cell]
Ac (0.422, 0.250, 0.134) [2 per cell]
Ac (0.422, 0.250, 0.577) [2 per cell]
Cd (0.238, 0.750, 0.062) [2 per cell]
Au (0.219, 0.750, 0.549) [2 per cell]
N (0.232, 0.250, 0.309) [2 per cell]

10.
The following is a computed powder diffractogram of LiDy5Te8. It was derived from DFT lattice parameters and positions (PBE), using Cu Ka.
Lines closer than 0.1° are merged.

Main lines, most intense first (2θ = 10–90°):
| two_theta | d (Å) | I_rel |
| --- | --- | --- |
| 40.18 | 2.244 | 100 |
| 28.11 | 3.174 | 89 |
| 23.24 | 3.828 | 49 |
| 36.78 | 2.443 | 32 |
| 73.02 | 1.296 | 31 |
| 12.07 | 7.330 | 30 |
| 65.79 | 1.419 | 28 |
| 49.75 | 1.833 | 23 |
| 58.12 | 1.587 | 16 |
| 55.60 | 1.653 | 12 |
| 24.28 | 3.665 | 12 |
| 77.82 | 1.227 | 11 |

a b c (Å): 12.696 12.696 12.696
angles (deg): 90.00 90.00 90.00
Space group F-43m (No. 216)
Unique sites:
Li (0.000, 0.000, 0.000) [4 per cell]
Dy (0.131, 0.131, 0.631) [16 per cell]
Dy (0.250, 0.250, 0.250) [4 per cell]
Te (0.116, 0.116, 0.384) [16 per cell]
Te (0.129, 0.129, 0.871) [16 per cell]

11.
The following is a computed powder diffractogram of CeDy2HoTh. It was derived from DFT lattice parameters and positions (PBE), using Cu Ka.
Lines closer than 0.1° are merged.

Main lines, most intense first (2θ = 10–90°):
| two_theta | d (Å) | I_rel |
| --- | --- | --- |
| 32.18 | 2.782 | 100 |
| 32.54 | 2.751 | 40 |
| 34.82 | 2.576 | 29 |
| 36.89 | 2.436 | 26 |
| 61.74 | 1.502 | 22 |
| 32.96 | 2.717 | 22 |
| 57.83 | 1.594 | 19 |
| 52.81 | 1.734 | 19 |
| 20.31 | 4.373 | 18 |
| 16.11 | 5.503 | 17 |
| 30.67 | 2.915 | 17 |
| 47.00 | 1.933 | 16 |

a b c (Å): 3.468 5.503 8.746
angles (deg): 90.00 90.00 90.00
Space group Pmmm (No. 47)
Unique sites:
Ce (0.000, 0.000, 0.000) [1 per cell]
Dy (0.000, 0.500, 0.320) [2 per cell]
Ho (0.500, 0.000, 0.500) [1 per cell]
Th (0.500, 0.500, 0.000) [1 per cell]

12.
The following is a computed powder diffractogram of K2CuNiBr6. It was derived from DFT lattice parameters and positions (PBE), using Cu Ka.
Lines closer than 0.1° are merged.

Main lines, most intense first (2θ = 10–90°):
| two_theta | d (Å) | I_rel |
| --- | --- | --- |
| 29.97 | 2.982 | 100 |
| 34.59 | 2.593 | 88 |
| 50.06 | 1.822 | 57 |
| 17.10 | 5.186 | 50 |
| 35.03 | 2.562 | 43 |
| 49.73 | 1.833 | 29 |
| 62.27 | 1.491 | 28 |
| 17.31 | 5.123 | 24 |
| 38.85 | 2.318 | 17 |
| 59.22 | 1.560 | 12 |
| 59.09 | 1.563 | 12 |
| 59.73 | 1.548 | 12 |

a b c (Å): 10.246 10.358 10.385
angles (deg): 90.00 90.00 90.00
Space group Fmmm (No. 69)
Unique sites:
K (0.250, 0.250, 0.250) [8 per cell]
Cu (0.000, 0.000, 0.000) [4 per cell]
Ni (0.000, 0.000, 0.500) [4 per cell]
Br (0.000, 0.000, 0.265) [8 per cell]
Br (0.000, 0.236, 0.500) [8 per cell]
Br (0.236, 0.000, 0.000) [8 per cell]